# TlHgPb
Computed powder XRD pattern, Cu Kα, 1.54184 Å. Input: a GGA-PBE-relaxed structure.
Lines closer than 0.1° are merged.

Top 6 peaks for 2θ from 5° to 70°, sorted by position:
Position (°2θ), Rel. int., hkl
30.98, 29, 0 2 0
32.43, 25, 0 0 6
32.93, 100, 1 1 3
45.46, 20, 0 2 6
56.35, 22, 1 3 3
58.17, 19, 1 1 9

Cell and atoms:
Lattice parameters (Å, degrees): 3.7182 5.7740 16.5629 90.00 90.00 90.00
Space group Fmm2 (No. 42)
Asymmetric unit:
1 Tl 0.0000 0.0000 0.0000
2 Hg 0.0000 0.0000 0.6601
3 Pb 0.0000 0.0000 0.3216

***

# CsPrFeBr6
Computed powder XRD pattern, Cu Kα, 1.54184 Å. Input: a GGA-PBE-relaxed structure.
Lines closer than 0.1° are merged.

Top 6 peaks for 2θ from 5° to 70°, sorted by position:
Position (°2θ), Rel. int., hkl
10.90, 41, 0 0 1
17.80, 99, 0 2 1
26.81, 75, 2 0 1
33.03, 100, 1 3 2
39.35, 37, 3 1 -1
42.97, 37, 0 6 0

Cell and atoms:
Lattice parameters (Å, degrees): 7.2895 12.6345 8.1152 90.00 90.12 90.00
Space group C2 (No. 5)
Asymmetric unit:
1 Cs 0.0000 0.0000 0.0000
2 Pr 0.0000 0.3337 0.5000
3 Fe 0.0000 0.6668 0.5000
4 Br 0.1233 0.5137 0.6983
5 Br 0.1667 0.8059 0.6965
6 Br 0.2078 0.1797 0.6955

***

# CsLiDySe2
Computed powder XRD pattern, Cu Kα, 1.54184 Å. Input: a GGA-PBE-relaxed structure.
Lines closer than 0.1° are merged.

Top 6 peaks for 2θ from 5° to 70°, sorted by position:
Position (°2θ), Rel. int., hkl
13.80, 40, 0 0 1
17.99, 52, 0 2 1
25.36, 100, 1 3 1
27.08, 40, 2 2 0
30.17, 28, 0 2 2
37.36, 43, 2 0 2

Cell and atoms:
Lattice parameters (Å, degrees): 7.2792 15.4051 6.4189 90.00 90.00 90.00
Space group Cmme (No. 67)
Asymmetric unit:
1 Cs 0.0000 0.2500 0.2246
2 Li 0.0000 0.0000 0.0000
3 Dy 0.2500 0.0000 0.5000
4 Se 0.0000 0.1048 0.7121

***

# K2Br3Cl6
Computed powder XRD pattern, Cu Kα, 1.54184 Å. Input: a GGA-PBE-relaxed structure.
Lines closer than 0.1° are merged.

Top 6 peaks for 2θ from 5° to 70°, sorted by position:
Position (°2θ), Rel. int., hkl
18.19, 50, 0 2 0
19.04, 23, 0 2 1
21.39, 35, 0 2 2
26.18, 100, 3 1 -2
37.11, 21, 3 3 0
38.76, 23, 0 2 6

Cell and atoms:
Lattice parameters (Å, degrees): 11.1962 9.7522 16.2623 90.00 102.86 90.00
Space group C2/c (No. 15)
Asymmetric unit:
1 K 0.0468 0.2444 0.0123
2 Br 0.0000 0.4889 0.2500
3 Br 0.1696 0.0518 0.7581
4 Cl 0.0601 0.4890 0.3999
5 Cl 0.1268 0.0374 0.6075
6 Cl 0.2152 0.0617 0.9081

***

# Tb3SiC
Computed powder XRD pattern, Cu Kα, 1.54184 Å. Input: a GGA-PBE-relaxed structure.
Lines closer than 0.1° are merged.

Top 6 peaks for 2θ from 5° to 70°, sorted by position:
Position (°2θ), Rel. int., hkl
28.68, 32, 1 1 2
32.14, 63, 1 1 3
32.77, 45, 2 1 1
33.99, 100, 3 0 1
34.67, 48, 2 1 2
52.93, 33, 1 1 7

Cell and atoms:
Lattice parameters (Å, degrees): 8.0635 3.8557 13.9499 90.00 90.00 90.00
Space group Pnma (No. 62)
Asymmetric unit:
1 Tb 0.0198 0.2500 0.1029
2 Tb 0.1669 0.2500 0.5096
3 Tb 0.1963 0.7500 0.2925
4 Si 0.0910 0.7500 0.6741
5 C 0.1628 0.2500 0.9412